Entry 1:
Simulated PXRD pattern
Compound: NaIn3Sb3
Radiation: Cu Ka
Structure: DFT lattice parameters and positions (GGA-PBE)

Structure:
```
data_NaIn3Sb3
_space_group_name_H-M_alt 'P 1 21/m 1'
_space_group_IT_number 11
_cell_length_a 11.7207
_cell_length_b 4.6858
_cell_length_c 11.7360
_cell_angle_alpha 90.00
_cell_angle_beta 119.95
_cell_angle_gamma 90.00
loop_
_space_group_symop_operation_xyz
'x,y,z'
'-x,-y,-z'
'-x,y+1/2,-z'
'x,-y+1/2,z'
loop_
_atom_site_label
_atom_site_fract_x
_atom_site_fract_y
_atom_site_fract_z
Na1 0.1666 0.2500 0.3334
In1 0.0995 0.2500 0.9365
In2 0.1631 0.7500 0.5998
In3 0.4361 0.7500 0.3371
Sb1 0.0696 0.2500 0.6756
Sb2 0.1759 0.7500 0.1053
Sb3 0.3948 0.7500 0.5706
```

The 10 most intense peaks (10 to 90 degrees two-theta), in order of rising 2θ:
- 2θ = 15.1°, d 5.866, I = 821
- 2θ = 20.9°, d 4.255, I = 633
- 2θ = 25.9°, d 3.444, I = 552
- 2θ = 26.3°, d 3.387, I = 349
- 2θ = 30.1°, d 2.970, I = 686
- 2θ = 35.3°, d 2.540, I = 279
- 2θ = 37.2°, d 2.415, I = 290
- 2θ = 38.4°, d 2.343, I = 343
- 2θ = 40.4°, d 2.233, I = 1000
- 2θ = 43.4°, d 2.087, I = 263



Entry 2:
Simulated PXRD pattern
Compound: NaInSbSe4
Radiation: Cu Ka
Structure: DFT lattice parameters and positions (GGA-PBE)

Structure:
```
data_NaInSbSe4
_space_group_name_H-M_alt 'I -4'
_space_group_IT_number 82
_cell_length_a 6.7096
_cell_length_b 6.7096
_cell_length_c 10.3631
_cell_angle_alpha 90.00
_cell_angle_beta 90.00
_cell_angle_gamma 90.00
loop_
_space_group_symop_operation_xyz
'x,y,z'
'y,-x,-z'
'-x,-y,z'
'-y,x,-z'
'x+1/2,y+1/2,z+1/2'
'y+1/2,-x+1/2,-z+1/2'
'-x+1/2,-y+1/2,z+1/2'
'-y+1/2,x+1/2,-z+1/2'
loop_
_atom_site_label
_atom_site_fract_x
_atom_site_fract_y
_atom_site_fract_z
Na1 0.0000 0.0000 0.0000
In1 0.0000 0.0000 0.5000
Sb1 0.0000 0.5000 0.7500
Se1 0.2254 0.7664 0.3580
```

The 10 most intense peaks (10 to 90 degrees two-theta), in order of rising 2θ:
- 2θ = 15.7°, d 5.632, I = 516
- 2θ = 25.5°, d 3.499, I = 1000
- 2θ = 31.0°, d 2.882, I = 183
- 2θ = 37.9°, d 2.372, I = 333
- 2θ = 39.8°, d 2.265, I = 117
- 2θ = 44.2°, d 2.051, I = 403
- 2θ = 46.2°, d 1.964, I = 363
- 2θ = 54.7°, d 1.677, I = 104
- 2θ = 56.7°, d 1.623, I = 86
- 2θ = 72.9°, d 1.298, I = 153



Entry 3:
Simulated PXRD pattern
Compound: NaTlInSb
Radiation: Cu Ka
Structure: DFT lattice parameters and positions (GGA-PBE)

Structure:
```
data_NaTlInSb
_space_group_name_H-M_alt 'P m m m'
_space_group_IT_number 47
_cell_length_a 4.4784
_cell_length_b 4.8472
_cell_length_c 5.1034
_cell_angle_alpha 90.00
_cell_angle_beta 90.00
_cell_angle_gamma 90.00
loop_
_space_group_symop_operation_xyz
'x,y,z'
'-x,-y,-z'
'-x,-y,z'
'x,y,-z'
'x,-y,-z'
'-x,y,z'
'-x,y,-z'
'x,-y,z'
loop_
_atom_site_label
_atom_site_fract_x
_atom_site_fract_y
_atom_site_fract_z
Na1 0.0000 0.0000 0.0000
Tl1 0.5000 0.5000 0.0000
In1 0.0000 0.5000 0.5000
Sb1 0.5000 0.0000 0.5000
```

The 10 most intense peaks (10 to 90 degrees two-theta), in order of rising 2θ:
- 2θ = 18.3°, d 4.847, I = 134
- 2θ = 19.8°, d 4.478, I = 124
- 2θ = 25.3°, d 3.515, I = 138
- 2θ = 32.4°, d 2.765, I = 1000
- 2θ = 35.2°, d 2.552, I = 200
- 2θ = 37.1°, d 2.424, I = 173
- 2θ = 40.3°, d 2.239, I = 138
- 2θ = 52.0°, d 1.757, I = 130
- 2θ = 61.4°, d 1.511, I = 157
- 2θ = 63.9°, d 1.457, I = 139



Entry 4:
Simulated PXRD pattern
Compound: Na4ScIn3Se8
Radiation: Cu Ka
Structure: DFT lattice parameters and positions (GGA-PBE)

Structure:
```
data_Na4ScIn3Se8
_space_group_name_H-M_alt 'C 1 2/m 1'
_space_group_IT_number 12
_cell_length_a 13.9062
_cell_length_b 8.0296
_cell_length_c 8.4247
_cell_angle_alpha 90.00
_cell_angle_beta 123.37
_cell_angle_gamma 90.00
loop_
_space_group_symop_operation_xyz
'x,y,z'
'-x,-y,-z'
'-x,y,-z'
'x,-y,z'
'x+1/2,y+1/2,z'
'-x+1/2,-y+1/2,-z'
'-x+1/2,y+1/2,-z'
'x+1/2,-y+1/2,z'
loop_
_atom_site_label
_atom_site_fract_x
_atom_site_fract_y
_atom_site_fract_z
Na1 0.0000 0.0000 0.0000
Na2 0.0000 0.5000 0.0000
Na3 0.2500 0.2500 0.0000
Sc1 0.0000 0.0000 0.5000
In1 0.0000 0.5000 0.5000
In2 0.2500 0.2500 0.5000
Se1 0.0071 0.2455 0.2772
Se2 0.2380 0.0000 0.7207
Se3 0.2390 0.5000 0.7175
```

The 10 most intense peaks (10 to 90 degrees two-theta), in order of rising 2θ:
- 2θ = 12.6°, d 7.036, I = 385
- 2θ = 30.8°, d 2.903, I = 1000
- 2θ = 39.6°, d 2.278, I = 127
- 2θ = 43.0°, d 2.102, I = 352
- 2θ = 45.2°, d 2.007, I = 349
- 2θ = 55.7°, d 1.651, I = 180
- 2θ = 64.2°, d 1.452, I = 103
- 2θ = 71.3°, d 1.323, I = 125
- 2θ = 74.4°, d 1.275, I = 148
- 2θ = 81.9°, d 1.176, I = 102